Starting from DFT lattice parameters and positions (GGA+U), the X-ray diffraction stick pattern of Ba3DyUFeO9 was computed for CuKα.
Peak positions follow from Bragg's law for the DFT cell and can differ from measured ones.

Largest 6 diffraction maxima, by angle, 2θ from 10° to 90°:
| d [Å] | I (rel.) |
| --- | --- |
| 5.773 | 30.6 |
| 3.861 | 33.8 |
| 3.326 | 64.9 |
| 2.999 | 100.0 |
| 2.227 | 34.8 |
| 1.788 | 22.3 |

Cell and atoms:
```
data_Ba3DyUFeO9
_chemical_formula_sum 'Ba6 Dy2 U2 Fe2 O18'
_space_group_name_H-M_alt 'P 3 m 1'
_space_group_IT_number 156
_cell_length_a 5.9984
_cell_length_b 5.9984
_cell_length_c 17.3182
_cell_angle_alpha 90.00
_cell_angle_beta 90.00
_cell_angle_gamma 120.00
loop_
_space_group_symop_operation_xyz
'x,y,z'
'-y,x-y,z'
'-x+y,-x,z'
'-y,-x,z'
'-x+y,y,z'
'x,x-y,z'
loop_
_atom_site_label
_atom_site_type_symbol
_atom_site_fract_x
_atom_site_fract_y
_atom_site_fract_z
Ba1 Ba 0.0000 0.0000 0.0000
Ba2 Ba 0.0000 0.0000 0.2364
Ba3 Ba 0.0000 0.0000 0.7340
Ba4 Ba 0.3333 0.6667 0.1293
Ba5 Ba 0.3333 0.6667 0.3650
Ba6 Ba 0.6667 0.3333 0.8783
Dy1 Dy 0.3333 0.6667 0.5660
Dy2 Dy 0.6667 0.3333 0.5217
U1 U 0.3333 0.6667 0.8200
U2 U 0.6667 0.3333 0.1824
Fe1 Fe 0.0000 0.0000 0.5340
Fe2 Fe 0.6667 0.3333 0.6843
O1 O 0.1711 0.3421 0.4854
O2 O 0.1724 0.3449 0.8874
O3 O 0.3364 0.1682 0.1138
O4 O 0.3578 0.1789 0.6076
O5 O 0.5013 0.0027 0.2503
O6 O 0.5058 0.0117 0.7514
```



Starting from DFT lattice parameters and positions (GGA+U), the X-ray diffraction stick pattern of BaDy2MnO5 was computed for CuKα.
Peak positions follow from Bragg's law for the DFT cell and can differ from measured ones.

Largest 6 diffraction maxima, by angle, 2θ from 10° to 90°:
| d [Å] | I (rel.) |
| --- | --- |
| 3.066 | 100.0 |
| 2.976 | 83.7 |
| 2.902 | 52.0 |
| 2.871 | 23.1 |
| 2.041 | 33.5 |
| 1.706 | 22.6 |

Cell and atoms:
```
data_BaDy2MnO5
_chemical_formula_sum 'Ba4 Dy8 Mn4 O20'
_space_group_name_H-M_alt 'P n m a'
_space_group_IT_number 62
_cell_length_a 12.517
_cell_length_b 5.804
_cell_length_c 7.214
_cell_angle_alpha 90.00
_cell_angle_beta 90.00
_cell_angle_gamma 90.00
loop_
_space_group_symop_operation_xyz
'x,y,z'
'-x,-y,-z'
'-x+1/2,-y,z+1/2'
'x+1/2,y,-z+1/2'
'x+1/2,-y+1/2,-z+1/2'
'-x+1/2,y+1/2,z+1/2'
'-x,y+1/2,-z'
'x,-y+1/2,z'
loop_
_atom_site_label
_atom_site_type_symbol
_atom_site_fract_x
_atom_site_fract_y
_atom_site_fract_z
Ba1 Ba 0.101 0.250 0.081
Dy1 Dy 0.074 0.750 0.400
Dy2 Dy 0.207 0.250 0.623
Mn1 Mn 0.152 0.750 0.808
O1 O 0.065 0.002 0.662
O2 O 0.101 0.750 0.079
O3 O 0.224 0.501 0.362
```



Starting from DFT lattice parameters and positions (GGA+U), the X-ray diffraction stick pattern of BaDyMn4O12 was computed for CuKα.
Peak positions follow from Bragg's law for the DFT cell and can differ from measured ones.

Largest 6 diffraction maxima, by angle, 2θ from 10° to 90°:
| d [Å] | I (rel.) |
| --- | --- |
| 4.399 | 98.9 |
| 2.694 | 100.0 |
| 2.300 | 35.5 |
| 2.291 | 17.2 |
| 1.908 | 28.2 |
| 1.557 | 25.3 |

Cell and atoms:
```
data_BaDyMn4O12
_chemical_formula_sum 'Ba1 Dy1 Mn4 O12'
_space_group_name_H-M_alt 'P 4/m m m'
_space_group_IT_number 123
_space_group_name_Hall '-P 4 2'
_cell_length_a 5.397
_cell_length_b 5.397
_cell_length_c 7.593
_cell_angle_alpha 90.00
_cell_angle_beta 90.00
_cell_angle_gamma 90.00
loop_
_atom_site_label
_atom_site_type_symbol
_atom_site_fract_x
_atom_site_fract_y
_atom_site_fract_z
Ba1 Ba 0.000 0.000 0.000
Dy1 Dy 0.500 0.500 0.500
Mn1 Mn 0.000 0.500 0.250
O1 O 0.000 0.500 0.000
O2 O 0.000 0.500 0.500
O3 O 0.262 0.262 0.273
```



Starting from DFT lattice parameters and positions (GGA+U), the X-ray diffraction stick pattern of BaSrDyMnO6 was computed for CuKα.
Peak positions follow from Bragg's law for the DFT cell and can differ from measured ones.

Largest 6 diffraction maxima, by angle, 2θ from 10° to 90°:
| d [Å] | I (rel.) |
| --- | --- |
| 2.932 | 100.0 |
| 2.073 | 31.4 |
| 1.693 | 39.4 |
| 1.466 | 19.1 |
| 1.311 | 17.7 |
| 1.108 | 21.4 |

Cell and atoms:
```
data_BaSrDyMnO6
_chemical_formula_sum 'Ba4 Sr4 Dy4 Mn4 O24'
_space_group_name_H-M_alt 'F -4 3 m'
_space_group_IT_number 216
_space_group_name_Hall 'F -4 2 3'
_cell_length_a 8.293
_cell_length_b 8.293
_cell_length_c 8.293
_cell_angle_alpha 90.00
_cell_angle_beta 90.00
_cell_angle_gamma 90.00
loop_
_atom_site_label
_atom_site_type_symbol
_atom_site_fract_x
_atom_site_fract_y
_atom_site_fract_z
Ba1 Ba 0.000 0.000 0.000
Sr1 Sr 0.000 0.000 0.500
Dy1 Dy 0.250 0.250 0.750
Mn1 Mn 0.250 0.250 0.250
O1 O 0.018 0.250 0.250
```



Starting from DFT lattice parameters and positions (GGA+U), the X-ray diffraction stick pattern of BaNaDyWO6 was computed for CuKα.
Peak positions follow from Bragg's law for the DFT cell and can differ from measured ones.

Largest 6 diffraction maxima, by angle, 2θ from 10° to 90°:
| d [Å] | I (rel.) |
| --- | --- |
| 4.202 | 27.0 |
| 2.971 | 100.0 |
| 2.101 | 30.2 |
| 1.715 | 40.6 |
| 1.485 | 18.8 |
| 1.123 | 21.9 |

Cell and atoms:
```
data_BaNaDyWO6
_chemical_formula_sum 'Ba4 Na4 Dy4 W4 O24'
_space_group_name_H-M_alt 'F -4 3 m'
_space_group_IT_number 216
_space_group_name_Hall 'F -4 2 3'
_cell_length_a 8.403
_cell_length_b 8.403
_cell_length_c 8.403
_cell_angle_alpha 90.00
_cell_angle_beta 90.00
_cell_angle_gamma 90.00
loop_
_atom_site_label
_atom_site_type_symbol
_atom_site_fract_x
_atom_site_fract_y
_atom_site_fract_z
Ba1 Ba 0.000 0.000 0.000
Na1 Na 0.000 0.000 0.500
Dy1 Dy 0.250 0.250 0.750
W1 W 0.250 0.250 0.250
O1 O 0.017 0.250 0.250
```



Starting from DFT lattice parameters and positions (GGA+U), the X-ray diffraction stick pattern of BaDyNi4O12 was computed for CuKα.
Peak positions follow from Bragg's law for the DFT cell and can differ from measured ones.

Largest 6 diffraction maxima, by angle, 2θ from 10° to 90°:
| d [Å] | I (rel.) |
| --- | --- |
| 4.446 | 100.0 |
| 2.733 | 40.4 |
| 2.717 | 77.5 |
| 2.328 | 35.8 |
| 1.933 | 31.8 |
| 1.575 | 30.8 |

Cell and atoms:
```
data_BaDyNi4O12
_chemical_formula_sum 'Ba1 Dy1 Ni4 O12'
_space_group_name_H-M_alt 'P 4/m m m'
_space_group_IT_number 123
_space_group_name_Hall '-P 4 2'
_cell_length_a 5.466
_cell_length_b 5.466
_cell_length_c 7.641
_cell_angle_alpha 90.00
_cell_angle_beta 90.00
_cell_angle_gamma 90.00
loop_
_atom_site_label
_atom_site_type_symbol
_atom_site_fract_x
_atom_site_fract_y
_atom_site_fract_z
Ba1 Ba 0.000 0.000 0.000
Dy1 Dy 0.500 0.500 0.500
Ni1 Ni 0.000 0.500 0.251
O1 O 0.000 0.500 0.000
O2 O 0.000 0.500 0.500
O3 O 0.270 0.270 0.273
```



Starting from DFT lattice parameters and positions (GGA+U), the X-ray diffraction stick pattern of BaErMn2O5 was computed for CuKα.
Peak positions follow from Bragg's law for the DFT cell and can differ from measured ones.

Largest 6 diffraction maxima, by angle, 2θ from 10° to 90°:
| d [Å] | I (rel.) |
| --- | --- |
| 2.805 | 43.3 |
| 2.784 | 100.0 |
| 2.279 | 22.4 |
| 1.983 | 28.7 |
| 1.615 | 38.3 |
| 1.604 | 21.8 |

Cell and atoms:
```
data_BaErMn2O5
_chemical_formula_sum 'Ba2 Er2 Mn4 O10'
_space_group_name_H-M_alt 'P 4/n m m'
_space_group_IT_number 129
_cell_length_a 5.610
_cell_length_b 5.610
_cell_length_c 7.819
_cell_angle_alpha 90.00
_cell_angle_beta 90.00
_cell_angle_gamma 90.00
loop_
_space_group_symop_operation_xyz
'x,y,z'
'-x,-y,-z'
'-y+1/2,x,z'
'y+1/2,-x,-z'
'-x+1/2,-y+1/2,z'
'x+1/2,y+1/2,-z'
'y,-x+1/2,z'
'-y,x+1/2,-z'
'x+1/2,-y,-z'
'-x+1/2,y,z'
'-y,-x,-z'
'y,x,z'
'-x,y+1/2,-z'
'x,-y+1/2,z'
'y+1/2,x+1/2,-z'
'-y+1/2,-x+1/2,z'
loop_
_atom_site_label
_atom_site_type_symbol
_atom_site_fract_x
_atom_site_fract_y
_atom_site_fract_z
Ba1 Ba 0.250 0.750 0.000
Er1 Er 0.250 0.750 0.500
Mn1 Mn 0.250 0.250 0.259
Mn2 Mn 0.250 0.250 0.724
O1 O 0.006 0.006 0.678
O2 O 0.250 0.250 0.994
```